Entry 1:
Calculated powder XRD pattern
Compound: Na6TlGa2
Radiation: Cu Kα (λ = 1.5418 Å)
Structure: DFT lattice parameters and positions (GGA-PBE)
Peak positions follow from Bragg's law for the DFT cell and can differ from measured ones.

Top 12 peaks for 10° ≤ 2θ ≤ 90°, low angle first:
d_spacing	intensity
5.124	100
4.518	37
4.138	45
3.473	27
3.014	54
2.754	57
2.726	21
2.711	33
2.562	32
2.261	26
2.070	24
1.736	24

Structure:
Unit cell a=10.971 b=10.971 c=4.524 alpha=90.00 beta=90.00 gamma=69.09
Fractional coordinates of all 18 atoms:
1 Na 0.003 0.606 0.250
2 Na 0.006 0.817 0.750
3 Na 0.183 0.994 0.750
4 Na 0.289 0.508 0.750
5 Na 0.394 0.997 0.250
6 Na 0.492 0.711 0.750
7 Na 0.508 0.289 0.250
8 Na 0.606 0.003 0.750
9 Na 0.711 0.492 0.250
10 Na 0.817 0.006 0.250
11 Na 0.994 0.183 0.250
12 Na 0.997 0.394 0.750
13 Tl 0.249 0.751 0.250
14 Tl 0.751 0.249 0.750
15 Ga 0.215 0.310 0.250
16 Ga 0.310 0.215 0.750
17 Ga 0.690 0.785 0.250
18 Ga 0.785 0.690 0.750


Entry 2:
Calculated powder XRD pattern
Compound: Na3Tl5Ga
Radiation: Cu Kα (λ = 1.5418 Å)
Structure: DFT lattice parameters and positions (GGA-PBE)
Peak positions follow from Bragg's law for the DFT cell and can differ from measured ones.

Top 12 peaks for 10° ≤ 2θ ≤ 90°, low angle first:
d_spacing	intensity
4.553	31
4.516	22
3.857	60
3.193	62
2.953	82
2.856	31
2.636	100
2.160	36
1.954	50
1.780	23
1.549	19
1.416	23

Structure:
Unit cell a=9.108 b=9.108 c=9.108 alpha=120.56 beta=120.56 gamma=89.04
Fractional coordinates of all 18 atoms:
1 Na 0.118 0.618 0.736
2 Na 0.250 0.250 0.000
3 Na 0.382 0.118 0.500
4 Na 0.618 0.882 0.500
5 Na 0.750 0.750 0.000
6 Na 0.882 0.382 0.264
7 Tl 0.000 0.000 0.000
8 Tl 0.052 0.169 0.500
9 Tl 0.169 0.669 0.117
10 Tl 0.331 0.448 0.500
11 Tl 0.448 0.948 0.117
12 Tl 0.500 0.500 0.000
13 Tl 0.552 0.052 0.883
14 Tl 0.669 0.552 0.500
15 Tl 0.831 0.331 0.883
16 Tl 0.948 0.831 0.500
17 Ga 0.250 0.750 0.500
18 Ga 0.750 0.250 0.500


Entry 3:
Calculated powder XRD pattern
Compound: NaTl6Ga
Radiation: Cu Kα (λ = 1.5418 Å)
Structure: DFT lattice parameters and positions (GGA-PBE)
Peak positions follow from Bragg's law for the DFT cell and can differ from measured ones.

Top 12 peaks for 10° ≤ 2θ ≤ 90°, low angle first:
d_spacing	intensity
6.277	34
3.304	47
3.124	53
3.107	100
3.037	70
2.863	54
2.688	42
2.481	33
2.318	29
2.283	40
2.153	31
2.104	36

Structure:
Unit cell a=6.751 b=6.751 c=6.169 alpha=108.96 beta=108.96 gamma=74.36
Fractional coordinates of all 8 atoms:
1 Na 0.000 0.000 0.000
2 Tl 0.199 0.589 0.201
3 Tl 0.294 0.294 0.604
4 Tl 0.411 0.801 0.799
5 Tl 0.589 0.199 0.201
6 Tl 0.706 0.706 0.396
7 Tl 0.801 0.411 0.799
8 Ga 0.000 0.000 0.500


Entry 4:
Calculated powder XRD pattern
Compound: NaTl4Ga
Radiation: Cu Kα (λ = 1.5418 Å)
Structure: DFT lattice parameters and positions (GGA-PBE)
Peak positions follow from Bragg's law for the DFT cell and can differ from measured ones.

Top 12 peaks for 10° ≤ 2θ ≤ 90°, low angle first:
d_spacing	intensity
4.891	21
4.475	53
3.167	46
2.914	100
2.858	78
2.681	58
2.610	55
2.461	48
2.423	51
2.239	42
1.693	24
1.583	37

Structure:
Unit cell a=5.500 b=5.500 c=10.782 alpha=113.59 beta=113.59 gamma=35.87
Fractional coordinates of all 6 atoms:
1 Na 0.000 0.000 0.000
2 Tl 0.155 0.155 0.350
3 Tl 0.341 0.341 0.170
4 Tl 0.659 0.659 0.830
5 Tl 0.845 0.845 0.650
6 Ga 0.500 0.500 0.500


Entry 5:
Calculated powder XRD pattern
Compound: NaTm2Ga6
Radiation: Cu Kα (λ = 1.5418 Å)
Structure: DFT lattice parameters and positions (GGA-PBE)
Peak positions follow from Bragg's law for the DFT cell and can differ from measured ones.

Top 12 peaks for 10° ≤ 2θ ≤ 90°, low angle first:
d_spacing	intensity
6.683	31
3.858	8
3.084	9
2.582	100
2.228	62
1.738	10
1.687	27
1.370	26
1.345	25
1.286	10
1.114	7
1.110	7

Structure:
Unit cell a=7.716 b=7.716 c=3.476 alpha=90.00 beta=90.00 gamma=120.00
Fractional coordinates of all 9 atoms:
1 Na 0.000 0.000 0.000
2 Tm 0.333 0.667 0.000
3 Tm 0.667 0.333 0.000
4 Ga 0.000 0.335 0.500
5 Ga 0.000 0.665 0.500
6 Ga 0.335 0.000 0.500
7 Ga 0.335 0.335 0.500
8 Ga 0.665 0.000 0.500
9 Ga 0.665 0.665 0.500


Entry 6:
Calculated powder XRD pattern
Compound: NaTmZnGa
Radiation: Cu Kα (λ = 1.5418 Å)
Structure: DFT lattice parameters and positions (GGA-PBE)
Peak positions follow from Bragg's law for the DFT cell and can differ from measured ones.

Top 12 peaks for 10° ≤ 2θ ≤ 90°, low angle first:
d_spacing	intensity
4.032	43
3.492	2
2.469	100
2.106	23
1.746	17
1.602	10
1.562	1
1.426	35
1.344	7
1.235	11
1.180	8
1.104	15

Structure:
Unit cell a=4.938 b=4.938 c=4.938 alpha=60.00 beta=60.00 gamma=60.00
Fractional coordinates of all 4 atoms:
1 Na 0.000 0.000 0.000
2 Tm 0.500 0.500 0.500
3 Zn 0.750 0.750 0.750
4 Ga 0.250 0.250 0.250